Diffraction record for GdTa3O9. The powder diffractogram is calculated, not measured: it uses a DFT-relaxed cell (PBE, Alexandria) and Cu Kα X-rays.

Structure:
```
GdTa3O9
1.0
5.360 0.000 0.000
0.000 7.556 0.000
-0.355 0.000 8.308
Gd Ta O
2 6 18
Cartesian
0.032 1.889 3.613
4.973 5.667 4.695
0.000 0.000 0.000
0.000 3.778 0.000
2.283 0.052 5.792
2.283 3.726 5.792
2.722 3.830 2.516
2.722 7.505 2.516
0.138 1.889 8.143
0.536 4.242 6.531
0.536 7.092 6.531
1.232 4.089 3.885
1.232 7.245 3.885
1.681 4.161 1.013
1.681 7.174 1.013
1.605 1.889 5.458
2.186 1.889 2.609
2.819 5.667 5.699
3.400 5.667 2.850
3.324 0.383 7.296
3.324 3.395 7.296
3.774 0.311 4.423
3.774 3.467 4.423
4.469 0.464 1.777
4.469 3.314 1.777
4.867 5.667 0.165
```

Most intense lines, 2θ = 15–90°, by angle:
20.1°, I 29
23.5°, I 65
26.6°, I 100
27.7°, I 75
28.9°, I 45
30.6°, I 46
31.2°, I 82
33.5°, I 57
35.8°, I 37
40.4°, I 35
48.2°, I 33
54.4°, I 35